The following is a theoretical XRD peak list of La3Co2CuO9. It was derived from a structure optimized by DFT (PBE+U), using Cu Ka.
Intensities are scaled so that the largest is 100.

Structure:
abc: 5.5237 5.5237 13.1051
angles: 90.00 90.00 120.00
Space group P-3c1 (No. 165)
Symmetry-distinct sites (fractional):
La1 0.0000 0.0000 0.2500 (multiplicity 2)
La2 0.3333 0.6667 0.0847 (multiplicity 4)
Co1 0.3333 0.6667 0.3336 (multiplicity 4)
Cu1 0.0000 0.0000 0.0000 (multiplicity 2)
O1 0.0000 0.4376 0.2500 (multiplicity 6)
O2 0.1056 0.3417 0.9145 (multiplicity 12)

Most intense lines, 10 to 90 degrees two-theta, most intense first:
2θ (°)  d_spacing  I/Imax
32.42  2.762  100.0
33.14  2.703  99.9
47.04  1.932  59.1
58.29  1.583  40.7
57.82  1.595  23.5
23.02  3.864  22.7
40.13  2.247  20.5
59.66  1.550  18.2